1.
Ce2Ir3Rh3: computed powder diffraction line list (Cu Kα, 1.54184 Å), based on a DFT-relaxed cell (PBE, Alexandria).
Peak positions follow from Bragg's law for the DFT cell and can differ from measured ones.

Top 6 peaks for 15° ≤ 2θ ≤ 90°, most intense first:
d [Å], intensity
2.353, 100
2.033, 32
1.443, 21
2.049, 17
1.234, 13
1.228, 13

Atomic structure:
a = 4.069 Å, b = 4.097 Å, c = 8.124 Å
α = 90.00°, β = 90.00°, γ = 90.00°
Element x y z (fractional)
Ce 0.000 0.000 0.248
Ce 0.000 0.000 0.752
Ir 0.000 0.500 0.500
Ir 0.500 0.500 0.253
Ir 0.500 0.500 0.747
Rh 0.000 0.500 0.000
Rh 0.500 0.000 0.000
Rh 0.500 0.000 0.500

=====

2.
Cu10Sb3: computed powder diffraction line list (Cu Kα, 1.54184 Å), based on a DFT-relaxed cell (PBE, Alexandria).
Peak positions follow from Bragg's law for the DFT cell and can differ from measured ones.

Top 6 peaks for 15° ≤ 2θ ≤ 90°, most intense first:
d [Å], intensity
2.116, 100
2.431, 27
2.148, 24
1.175, 17
1.234, 16
1.403, 15

Atomic structure:
a = 10.121 Å, b = 10.121 Å, c = 4.296 Å
α = 90.00°, β = 90.00°, γ = 120.00°
Element x y z (fractional)
Cu 0.024 0.442 0.250
Cu 0.050 0.884 0.750
Cu 0.116 0.166 0.750
Cu 0.166 0.050 0.250
Cu 0.208 0.505 0.750
Cu 0.296 0.792 0.750
Cu 0.333 0.667 0.250
Cu 0.417 0.976 0.250
Cu 0.442 0.417 0.750
Cu 0.495 0.704 0.750
Cu 0.505 0.296 0.250
Cu 0.558 0.583 0.250
Cu 0.583 0.024 0.750
Cu 0.667 0.333 0.750
Cu 0.704 0.208 0.250
Cu 0.792 0.495 0.250
Cu 0.834 0.950 0.750
Cu 0.884 0.834 0.250
Cu 0.950 0.116 0.250
Cu 0.976 0.558 0.750
Sb 0.107 0.744 0.250
Sb 0.256 0.363 0.250
Sb 0.363 0.107 0.750
Sb 0.637 0.893 0.250
Sb 0.744 0.637 0.750
Sb 0.893 0.256 0.750

=====

3.
La6PmPr12: computed powder diffraction line list (Cu Kα, 1.54184 Å), based on a DFT-relaxed cell (PBE, Alexandria).
Peak positions follow from Bragg's law for the DFT cell and can differ from measured ones.

Top 6 peaks for 15° ≤ 2θ ≤ 90°, most intense first:
d [Å], intensity
3.040, 100
2.633, 51
1.588, 33
1.863, 18
1.860, 18
1.586, 11

Atomic structure:
a = 9.843 Å, b = 9.843 Å, c = 9.843 Å
α = 110.88°, β = 110.88°, γ = 110.88°
Element x y z (fractional)
La 0.054 0.579 0.369
La 0.369 0.054 0.579
La 0.421 0.631 0.946
La 0.579 0.369 0.054
La 0.631 0.946 0.421
La 0.946 0.421 0.631
Pm 0.000 0.000 0.000
Pr 0.106 0.157 0.738
Pr 0.157 0.738 0.106
Pr 0.210 0.315 0.472
Pr 0.262 0.894 0.843
Pr 0.315 0.472 0.210
Pr 0.472 0.210 0.315
Pr 0.528 0.790 0.685
Pr 0.685 0.528 0.790
Pr 0.738 0.106 0.157
Pr 0.790 0.685 0.528
Pr 0.843 0.262 0.894
Pr 0.894 0.843 0.262

=====

4.
TlCd4Au: computed powder diffraction line list (Cu Kα, 1.54184 Å), based on a DFT-relaxed cell (PBE, Alexandria).
Peak positions follow from Bragg's law for the DFT cell and can differ from measured ones.

Top 6 peaks for 15° ≤ 2θ ≤ 90°, most intense first:
d [Å], intensity
2.490, 100
2.920, 46
1.590, 33
1.460, 26
2.384, 24
1.686, 19

Atomic structure:
a = 5.840 Å, b = 5.840 Å, c = 5.840 Å
α = 60.00°, β = 60.00°, γ = 60.00°
Element x y z (fractional)
Tl 0.000 0.000 0.000
Cd 0.376 0.376 0.376
Cd 0.376 0.376 0.873
Cd 0.376 0.873 0.376
Cd 0.873 0.376 0.376
Au 0.750 0.750 0.750

=====

5.
AcAuSe: computed powder diffraction line list (Cu Kα, 1.54184 Å), based on a DFT-relaxed cell (PBE, Alexandria).
Peak positions follow from Bragg's law for the DFT cell and can differ from measured ones.

Top 6 peaks for 15° ≤ 2θ ≤ 90°, most intense first:
d [Å], intensity
2.600, 100
4.246, 57
1.501, 38
2.217, 32
1.838, 18
1.163, 17

Atomic structure:
a = 5.200 Å, b = 5.200 Å, c = 5.200 Å
α = 60.00°, β = 60.00°, γ = 60.00°
Element x y z (fractional)
Ac 0.000 0.000 0.000
Au 0.250 0.250 0.250
Se 0.750 0.750 0.750

=====

6.
Ho8C5: computed powder diffraction line list (Cu Kα, 1.54184 Å), based on a DFT-relaxed cell (PBE, Alexandria).
Peak positions follow from Bragg's law for the DFT cell and can differ from measured ones.

Top 6 peaks for 15° ≤ 2θ ≤ 90°, most intense first:
d [Å], intensity
2.732, 100
2.752, 80
3.015, 51
2.771, 30
1.782, 28
2.145, 28

Atomic structure:
a = 6.999 Å, b = 6.999 Å, c = 8.561 Å
α = 126.60°, β = 126.60°, γ = 60.96°
Element x y z (fractional)
Ho 0.018 0.544 0.834
Ho 0.019 0.019 0.318
Ho 0.456 0.982 0.166
Ho 0.472 0.472 0.665
Ho 0.528 0.528 0.335
Ho 0.544 0.018 0.834
Ho 0.981 0.981 0.682
Ho 0.982 0.456 0.166
C 0.000 0.000 0.000
C 0.257 0.743 0.500
C 0.269 0.269 0.003
C 0.731 0.731 0.997
C 0.743 0.257 0.500

=====

7.
Pr2Cd2In: computed powder diffraction line list (Cu Kα, 1.54184 Å), based on a DFT-relaxed cell (PBE, Alexandria).
Peak positions follow from Bragg's law for the DFT cell and can differ from measured ones.

Top 6 peaks for 15° ≤ 2θ ≤ 90°, most intense first:
d [Å], intensity
2.828, 100
2.616, 99
2.537, 61
2.790, 40
2.883, 34
1.877, 25

Atomic structure:
a = 6.272 Å, b = 6.272 Å, c = 10.228 Å
α = 107.92°, β = 107.92°, γ = 47.69°
Element x y z (fractional)
Pr 0.055 0.055 0.351
Pr 0.176 0.176 0.066
Pr 0.824 0.824 0.934
Pr 0.945 0.945 0.649
Cd 0.370 0.370 0.414
Cd 0.483 0.483 0.135
Cd 0.517 0.517 0.865
Cd 0.630 0.630 0.586
In 0.254 0.254 0.698
In 0.746 0.746 0.302

=====

8.
PmCoGe3: computed powder diffraction line list (Cu Kα, 1.54184 Å), based on a DFT-relaxed cell (PBE, Alexandria).
Peak positions follow from Bragg's law for the DFT cell and can differ from measured ones.

Top 6 peaks for 15° ≤ 2θ ≤ 90°, most intense first:
d [Å], intensity
2.592, 100
2.152, 54
2.617, 39
1.312, 23
1.662, 19
1.623, 18

Atomic structure:
a = 5.806 Å, b = 5.806 Å, c = 5.806 Å
α = 136.49°, β = 136.49°, γ = 63.23°
Element x y z (fractional)
Pm 0.000 0.000 0.000
Co 0.666 0.666 0.000
Ge 0.259 0.759 0.500
Ge 0.436 0.436 0.000
Ge 0.759 0.259 0.500

=====

9.
Ta5Mo3: computed powder diffraction line list (Cu Kα, 1.54184 Å), based on a DFT-relaxed cell (PBE, Alexandria).
Peak positions follow from Bragg's law for the DFT cell and can differ from measured ones.

Top 6 peaks for 15° ≤ 2θ ≤ 90°, most intense first:
d [Å], intensity
2.303, 100
2.289, 20
1.328, 14
1.324, 14
1.622, 14
1.152, 9

Atomic structure:
a = 5.644 Å, b = 5.644 Å, c = 4.578 Å
α = 90.00°, β = 90.00°, γ = 109.14°
Element x y z (fractional)
Ta 0.000 0.000 0.000
Ta 0.000 0.500 0.000
Ta 0.256 0.256 0.500
Ta 0.500 0.000 0.000
Ta 0.744 0.744 0.500
Mo 0.247 0.753 0.500
Mo 0.500 0.500 0.000
Mo 0.753 0.247 0.500

=====

10.
TbBe2Cu5: computed powder diffraction line list (Cu Kα, 1.54184 Å), based on a DFT-relaxed cell (PBE, Alexandria).
Peak positions follow from Bragg's law for the DFT cell and can differ from measured ones.

Top 6 peaks for 15° ≤ 2θ ≤ 90°, most intense first:
d [Å], intensity
2.356, 100
2.283, 96
2.689, 50
1.863, 32
3.141, 31
1.775, 24

Atomic structure:
a = 5.872 Å, b = 5.872 Å, c = 5.872 Å
α = 144.81°, β = 110.07°, γ = 80.77°
Element x y z (fractional)
Tb 0.000 0.000 0.000
Be 0.252 0.752 0.500
Be 0.748 0.248 0.500
Cu 0.159 0.347 0.812
Cu 0.465 0.653 0.812
Cu 0.500 0.000 0.500
Cu 0.535 0.347 0.188
Cu 0.841 0.653 0.188

=====

11.
Ca2Tl3Au: computed powder diffraction line list (Cu Kα, 1.54184 Å), based on a DFT-relaxed cell (PBE, Alexandria).
Peak positions follow from Bragg's law for the DFT cell and can differ from measured ones.

Top 6 peaks for 15° ≤ 2θ ≤ 90°, most intense first:
d [Å], intensity
2.545, 100
2.820, 81
2.091, 77
3.669, 57
4.407, 51
1.488, 39

Atomic structure:
a = 3.669 Å, b = 5.085 Å, c = 8.822 Å
α = 90.00°, β = 90.00°, γ = 90.00°
Element x y z (fractional)
Ca 0.000 0.000 0.000
Ca 0.000 0.500 0.454
Tl 0.500 0.000 0.628
Tl 0.500 0.500 0.148
Tl 0.500 0.500 0.806
Au 0.500 0.000 0.302

=====

12.
UPRu3: computed powder diffraction line list (Cu Kα, 1.54184 Å), based on a DFT-relaxed cell (PBE, Alexandria).
Peak positions follow from Bragg's law for the DFT cell and can differ from measured ones.

Top 6 peaks for 15° ≤ 2θ ≤ 90°, most intense first:
d [Å], intensity
2.458, 100
2.618, 38
1.966, 35
1.856, 23
1.210, 22
3.683, 17

Atomic structure:
a = 5.953 Å, b = 5.953 Å, c = 5.953 Å
α = 141.44°, β = 141.44°, γ = 55.68°
Element x y z (fractional)
U 0.000 0.000 0.000
P 0.374 0.374 0.000
Ru 0.256 0.756 0.500
Ru 0.589 0.589 0.000
Ru 0.756 0.256 0.500